For Y3CdIn2AgAu2, the GGA-PBE geometry in OQMD gives the computed X-ray powder pattern in this record (Cu Ka).
No peak broadening, texture or thermal motion is included.

Atomic structure:
```
Y3CdIn2AgAu2
1.0
3.904 0.000 0.000
0.000 6.822 3.927
0.000 -6.822 3.927
Y Cd In Ag Au
3 1 2 1 2
Direct
0.000 0.000 0.000 Y
0.000 0.416 0.820 Y
0.000 0.820 0.416 Y
0.500 0.675 0.675 Cd
0.500 0.151 0.413 In
0.500 0.413 0.151 In
0.000 0.412 0.412 Ag
0.500 0.080 0.746 Au
0.500 0.746 0.080 Au
```

Principal peaks in the range 10° ≤ 2θ ≤ 90°, low angle first:
2θ (°)	I/Imax
32.3	91.6
34.8	45.4
35.0	100.0
39.7	64.5
42.0	53.8
62.8	32.9



For Li4Cd2AgAu, the GGA-PBE geometry in OQMD gives the computed X-ray powder pattern in this record (Cu Ka).
No peak broadening, texture or thermal motion is included.

Atomic structure:
```
Li4Cd2AgAu
1.0
4.565 0.000 0.000
0.000 4.565 0.000
0.000 0.000 6.451
Li Cd Ag Au
4 2 1 1
Direct
0.000 0.000 0.000 Li
0.000 0.500 0.249 Li
0.500 0.000 0.751 Li
0.500 0.500 0.500 Li
0.000 0.500 0.749 Cd
0.500 0.000 0.251 Cd
0.000 0.000 0.500 Ag
0.500 0.500 0.000 Au
```

Principal peaks in the range 10° ≤ 2θ ≤ 90°, low angle first:
2θ (°)	I/Imax
23.9	100.0
39.5	91.9
46.7	49.8
62.8	20.1
71.6	30.6
89.9	16.0



For LiCdAgAu, the GGA-PBE geometry in OQMD gives the computed X-ray powder pattern in this record (Cu Ka).
No peak broadening, texture or thermal motion is included.

Atomic structure:
```
LiCdAgAu
1.0
4.650 0.000 0.000
0.000 4.640 0.000
-0.048 0.000 6.475
Li Cd Ag Au
2 2 2 2
Direct
0.230 0.250 0.000 Li
0.770 0.750 0.000 Li
0.232 0.250 0.500 Cd
0.768 0.750 0.500 Cd
0.272 0.750 0.777 Ag
0.728 0.250 0.223 Ag
0.269 0.750 0.224 Au
0.731 0.250 0.776 Au
```

Principal peaks in the range 10° ≤ 2θ ≤ 90°, low angle first:
2θ (°)	I/Imax
27.2	50.2
38.8	100.0
39.0	91.6
39.2	92.1
56.0	32.6
70.5	30.3



For LiCdAgAu, the GGA-PBE geometry in OQMD gives the computed X-ray powder pattern in this record (Cu Ka).
No peak broadening, texture or thermal motion is included.

Atomic structure:
```
LiCdAgAu
1.0
4.596 0.000 0.000
0.000 6.707 0.000
0.000 0.000 4.606
Li Cd Ag Au
2 2 2 2
Direct
0.000 0.250 0.000 Li
0.000 0.750 0.000 Li
0.500 0.250 0.533 Cd
0.500 0.750 0.533 Cd
0.000 0.000 0.493 Ag
0.500 0.500 0.032 Ag
0.000 0.500 0.495 Au
0.500 0.000 0.031 Au
```

Principal peaks in the range 10° ≤ 2θ ≤ 90°, low angle first:
2θ (°)	I/Imax
19.3	19.3
27.4	24.0
38.6	100.0
39.2	47.3
69.4	17.1
70.6	16.4



For LiCdAgAu, the GGA-PBE geometry in OQMD gives the computed X-ray powder pattern in this record (Cu Ka).
No peak broadening, texture or thermal motion is included.

Atomic structure:
```
LiCdAgAu
1.0
4.698 0.000 0.000
0.000 4.711 0.000
0.000 0.000 6.409
Li Cd Ag Au
2 2 2 2
Direct
0.000 0.237 0.000 Li
0.500 0.763 0.500 Li
0.000 0.231 0.500 Cd
0.500 0.769 0.000 Cd
0.000 0.731 0.750 Ag
0.500 0.269 0.250 Ag
0.000 0.733 0.250 Au
0.500 0.267 0.750 Au
```

Principal peaks in the range 10° ≤ 2θ ≤ 90°, low angle first:
2θ (°)	I/Imax
23.5	38.6
26.8	26.1
38.2	25.5
38.3	26.7
39.0	100.0
69.8	17.6



For Li2Mg2CdAgAu2, the GGA-PBE geometry in OQMD gives the computed X-ray powder pattern in this record (Cu Ka).
No peak broadening, texture or thermal motion is included.

Atomic structure:
```
Li2Mg2CdAgAu2
1.0
4.635 0.000 0.000
0.000 4.635 0.000
0.000 0.000 6.549
Li Mg Cd Ag Au
2 2 1 1 2
Direct
0.000 0.500 0.238 Li
0.500 0.000 0.762 Li
0.000 0.000 0.000 Mg
0.500 0.500 0.500 Mg
0.000 0.000 0.500 Cd
0.500 0.500 0.000 Ag
0.000 0.500 0.750 Au
0.500 0.000 0.250 Au
```

Principal peaks in the range 10° ≤ 2θ ≤ 90°, low angle first:
2θ (°)	I/Imax
23.5	92.1
38.9	100.0
45.9	48.0
56.1	16.9
61.7	19.9
70.4	34.3